This entry pairs a crystal structure of Cu3As with its theoretical powder diffraction line list. Radiation: Cu Kα, 1.54184 Å. Structure: a DFT-relaxed cell (GGA-PBE, the Materials Project).

Cell: 8.355 8.355 8.355 Å, 109.47 109.47 109.47°
Fractional positions:
1 Cu 0.068 0.911 0.716
2 Cu 0.089 0.305 0.157
3 Cu 0.148 0.843 0.432
4 Cu 0.157 0.089 0.305
5 Cu 0.195 0.284 0.852
6 Cu 0.216 0.411 0.568
7 Cu 0.284 0.852 0.195
8 Cu 0.305 0.157 0.089
9 Cu 0.343 0.648 0.932
10 Cu 0.352 0.784 0.695
11 Cu 0.411 0.568 0.216
12 Cu 0.432 0.148 0.843
13 Cu 0.568 0.216 0.411
14 Cu 0.589 0.657 0.805
15 Cu 0.648 0.932 0.343
16 Cu 0.657 0.805 0.589
17 Cu 0.695 0.352 0.784
18 Cu 0.716 0.068 0.911
19 Cu 0.784 0.695 0.352
20 Cu 0.805 0.589 0.657
21 Cu 0.843 0.432 0.148
22 Cu 0.852 0.195 0.284
23 Cu 0.911 0.716 0.068
24 Cu 0.932 0.343 0.648
25 As 0.000 0.063 0.500
26 As 0.000 0.563 0.500
27 As 0.063 0.500 0.000
28 As 0.437 0.437 0.437
29 As 0.500 0.000 0.063
30 As 0.500 0.000 0.563
31 As 0.563 0.500 0.000
32 As 0.937 0.937 0.937

Largest 10 diffraction maxima, by angle, 2θ from 15° to 90°:
- 3.938 Å, 2θ = 22.58°, rel. 201
- 3.051 Å, 2θ = 29.28°, rel. 230
- 2.578 Å, 2θ = 34.80°, rel. 178
- 2.157 Å, 2θ = 41.88°, rel. 430
- 2.057 Å, 2θ = 44.03°, rel. 1000
- 1.969 Å, 2θ = 46.09°, rel. 467
- 1.892 Å, 2θ = 48.09°, rel. 849
- 1.313 Å, 2θ = 71.92°, rel. 232
- 1.225 Å, 2θ = 77.99°, rel. 210
- 1.121 Å, 2θ = 86.85°, rel. 154

This entry pairs a crystal structure of Zr2H2Pd with its theoretical powder diffraction line list. Radiation: Cu Kα, 1.54184 Å. Structure: a DFT-relaxed cell (GGA-PBE, the Materials Project).

Cell: 6.807 6.807 6.807 Å, 152.90 152.90 38.70°
Fractional positions:
1 Zr 0.143 0.143 0.000
2 Zr 0.857 0.857 0.000
3 H 0.250 0.750 0.500
4 H 0.750 0.250 0.500
5 Pd 0.500 0.500 0.000

Largest 10 diffraction maxima, by angle, 2θ from 15° to 90°:
- 2.558 Å, 2θ = 35.08°, rel. 1000
- 2.255 Å, 2θ = 39.98°, rel. 385
- 2.141 Å, 2θ = 42.21°, rel. 97
- 2.001 Å, 2θ = 45.33°, rel. 135
- 1.595 Å, 2θ = 57.82°, rel. 131
- 1.553 Å, 2θ = 59.54°, rel. 142
- 1.353 Å, 2θ = 69.46°, rel. 259
- 1.308 Å, 2θ = 72.23°, rel. 73
- 1.279 Å, 2θ = 74.14°, rel. 71
- 1.097 Å, 2θ = 89.34°, rel. 66

This entry pairs a crystal structure of EuBO3 with its theoretical powder diffraction line list. Radiation: Cu Kα, 1.54184 Å. Structure: a DFT-relaxed cell (GGA-PBE, the Materials Project).

Cell: 6.380 6.583 6.592 Å, 93.22 106.80 106.14°
Fractional positions:
1 Eu 0.039 0.264 0.330
2 Eu 0.446 0.813 0.224
3 Eu 0.554 0.187 0.776
4 Eu 0.961 0.736 0.670
5 B 0.020 0.241 0.779
6 B 0.488 0.277 0.266
7 B 0.512 0.723 0.734
8 B 0.980 0.759 0.221
9 O 0.037 0.774 0.037
10 O 0.084 0.641 0.365
11 O 0.148 0.129 0.714
12 O 0.381 0.136 0.384
13 O 0.381 0.797 0.838
14 O 0.446 0.467 0.253
15 O 0.554 0.533 0.747
16 O 0.619 0.203 0.162
17 O 0.619 0.864 0.616
18 O 0.852 0.871 0.286
19 O 0.916 0.359 0.635
20 O 0.963 0.226 0.963

Largest 10 diffraction maxima, by angle, 2θ from 15° to 90°:
- 4.303 Å, 2θ = 20.64°, rel. 729
- 3.710 Å, 2θ = 23.99°, rel. 612
- 3.706 Å, 2θ = 24.01°, rel. 259
- 3.680 Å, 2θ = 24.18°, rel. 269
- 3.124 Å, 2θ = 28.57°, rel. 1000
- 2.975 Å, 2θ = 30.04°, rel. 276
- 2.906 Å, 2θ = 30.77°, rel. 479
- 2.573 Å, 2θ = 34.87°, rel. 252
- 2.190 Å, 2θ = 41.22°, rel. 203
- 2.043 Å, 2θ = 44.35°, rel. 198

This entry pairs a crystal structure of Ce4Se3N2 with its theoretical powder diffraction line list. Radiation: Cu Kα, 1.54184 Å. Structure: a DFT-relaxed cell (GGA-PBE, the Materials Project).

Cell: 6.904 11.176 10.790 Å, 90.00 90.00 90.00°
Fractional positions:
1 Ce 0.103 0.250 0.165
2 Ce 0.161 0.053 0.883
3 Ce 0.161 0.447 0.883
4 Ce 0.205 0.250 0.528
5 Ce 0.295 0.750 0.028
6 Ce 0.339 0.553 0.383
7 Ce 0.339 0.947 0.383
8 Ce 0.397 0.750 0.665
9 Ce 0.603 0.250 0.335
10 Ce 0.661 0.053 0.617
11 Ce 0.661 0.447 0.617
12 Ce 0.705 0.250 0.972
13 Ce 0.795 0.750 0.472
14 Ce 0.839 0.553 0.117
15 Ce 0.839 0.947 0.117
16 Ce 0.897 0.750 0.835
17 Se 0.060 0.580 0.636
18 Se 0.060 0.920 0.636
19 Se 0.075 0.750 0.262
20 Se 0.425 0.250 0.762
21 Se 0.440 0.080 0.136
22 Se 0.440 0.420 0.136
23 Se 0.560 0.580 0.864
24 Se 0.560 0.920 0.864
25 Se 0.575 0.750 0.238
26 Se 0.925 0.250 0.738
27 Se 0.940 0.080 0.364
28 Se 0.940 0.420 0.364
29 N 0.055 0.619 0.967
30 N 0.055 0.881 0.967
31 N 0.445 0.119 0.467
32 N 0.445 0.381 0.467
33 N 0.555 0.619 0.533
34 N 0.555 0.881 0.533
35 N 0.945 0.119 0.033
36 N 0.945 0.381 0.033

Largest 10 diffraction maxima, by angle, 2θ from 15° to 90°:
- 3.383 Å, 2θ = 26.34°, rel. 684
- 3.137 Å, 2θ = 28.45°, rel. 547
- 3.067 Å, 2θ = 29.11°, rel. 588
- 2.834 Å, 2θ = 31.57°, rel. 702
- 2.801 Å, 2θ = 31.96°, rel. 1000
- 2.491 Å, 2θ = 36.06°, rel. 281
- 2.430 Å, 2θ = 37.00°, rel. 438
- 2.088 Å, 2θ = 43.34°, rel. 233
- 1.862 Å, 2θ = 48.91°, rel. 197
- 1.830 Å, 2θ = 49.82°, rel. 238